# Sr14Sn3As12
Calculated X-ray diffraction stick pattern, a wavelength of 1.5418 Å. Input: DFT lattice parameters and positions (GGA-PBE).
Peak positions follow from Bragg's law for the DFT cell and can differ from measured ones.

Atomic structure:
Cell: 13.1961 13.1961 17.4652 Å, 90.00 90.00 120.00°
Space group R3 (No. 146, hexagonal axes)
Symmetry-distinct sites (fractional):
Sr 0.0000 0.0000 0.0068
Sr 0.0000 0.0000 0.7930
Sr 0.1106 0.3744 0.5178
Sr 0.1176 0.7372 0.2535
Sr 0.1192 0.7404 0.7598
Sr 0.1448 0.4039 0.0000
Sn 0.0000 0.0000 0.2162
Sn 0.0000 0.0000 0.4410
Sn 0.0000 0.0000 0.6058
As 0.0374 0.2040 0.6661
As 0.0428 0.8273 0.9063
As 0.0484 0.2112 0.1465
As 0.0555 0.8363 0.4111

Largest 6 diffraction maxima, by angle, 10° ≤ 2θ ≤ 80°:
2θ (°)  intensity
29.08  65
29.99  100
32.98  22
33.65  34
35.76  30
36.01  45

# Sr3SnAs3
Calculated X-ray diffraction stick pattern, a wavelength of 1.5418 Å. Input: DFT lattice parameters and positions (GGA-PBE).
Peak positions follow from Bragg's law for the DFT cell and can differ from measured ones.

Atomic structure:
Cell: 12.7757 4.8184 13.9832 Å, 90.00 90.00 90.00°
Space group Pnma (No. 62)
Symmetry-distinct sites (fractional):
Sr 0.0615 0.2500 0.1079
Sr 0.1486 0.7500 0.4955
Sr 0.2227 0.7500 0.7862
Sn 0.0520 0.2500 0.6941
As 0.0381 0.2500 0.3478
As 0.1068 0.2500 0.8862
As 0.2501 0.2500 0.6175

Largest 6 diffraction maxima, by angle, 10° ≤ 2θ ≤ 80°:
2θ (°)  intensity
27.53  68
30.12  90
32.78  54
33.67  100
34.67  67
37.32  86

# TcSnAs2
Calculated X-ray diffraction stick pattern, a wavelength of 1.5418 Å. Input: DFT lattice parameters and positions (GGA-PBE).
Peak positions follow from Bragg's law for the DFT cell and can differ from measured ones.

Atomic structure:
Cell: 3.1027 3.1027 8.0922 Å, 90.00 90.00 90.00°
Space group P4/mmm (No. 123)
Symmetry-distinct sites (fractional):
Tc 0.0000 0.0000 0.0000
Sn 0.0000 0.0000 0.5000
As 0.5000 0.5000 0.1828

Largest 6 diffraction maxima, by angle, 10° ≤ 2θ ≤ 80°:
2θ (°)  intensity
21.97  12
36.49  100
41.14  48
54.12  18
59.60  16
71.94  28

# Sn4TeAs2
Calculated X-ray diffraction stick pattern, a wavelength of 1.5418 Å. Input: DFT lattice parameters and positions (GGA-PBE).
Peak positions follow from Bragg's law for the DFT cell and can differ from measured ones.

Atomic structure:
Cell: 7.2435 8.1837 8.2456 Å, 112.02 107.63 105.91°
Space group P1 (No. 1)
Symmetry-distinct sites (fractional):
Sn 0.0000 0.0000 0.0000
Sn 0.0193 0.1050 0.5886
Sn 0.0684 0.6538 0.6869
Sn 0.2852 0.5191 0.1330
Sn 0.4948 0.4264 0.5620
Sn 0.5707 0.0027 0.7145
Sn 0.6371 0.1376 0.2753
Sn 0.7905 0.5243 0.1435
Te 0.2234 0.9079 0.3187
Te 0.5428 0.7274 0.9572
As 0.0526 0.3646 0.3227
As 0.3682 0.1807 0.9533
As 0.7117 0.7217 0.4843
As 0.8657 0.3755 0.7919

Largest 6 diffraction maxima, by angle, 10° ≤ 2θ ≤ 80°:
2θ (°)  intensity
29.71  60
30.08  100
30.15  40
31.50  32
36.93  33
48.17  37

# Sn5Te4As
Calculated X-ray diffraction stick pattern, a wavelength of 1.5418 Å. Input: DFT lattice parameters and positions (GGA-PBE).
Peak positions follow from Bragg's law for the DFT cell and can differ from measured ones.

Atomic structure:
Cell: 9.9012 9.9012 6.3198 Å, 90.00 90.00 90.00°
Space group I4 (No. 79)
Symmetry-distinct sites (fractional):
Sn 0.0000 0.0000 0.0000
Sn 0.0963 0.7217 0.5370
Te 0.0954 0.6984 0.0482
As 0.0000 0.0000 0.5516

Largest 6 diffraction maxima, by angle, 10° ≤ 2θ ≤ 80°:
2θ (°)  intensity
28.24  51
28.51  100
40.56  76
40.76  36
50.32  38
74.05  22

# Sn3Te2As
Calculated X-ray diffraction stick pattern, a wavelength of 1.5418 Å. Input: DFT lattice parameters and positions (GGA-PBE).
Peak positions follow from Bragg's law for the DFT cell and can differ from measured ones.

Atomic structure:
Cell: 4.3507 4.3507 18.9081 Å, 90.00 90.00 90.00°
Space group I4/mmm (No. 139)
Symmetry-distinct sites (fractional):
Sn 0.0000 0.0000 0.0000
Sn 0.0000 0.0000 0.3501
Te 0.0000 0.0000 0.1693
As 0.0000 0.0000 0.5000

Largest 6 diffraction maxima, by angle, 10° ≤ 2θ ≤ 80°:
2θ (°)  intensity
28.32  46
29.03  100
41.00  68
41.51  38
51.01  36
75.38  23